# 1
Diffraction record for Tm4PuSe5. The XRD peak list is simulated, not measured: it uses a GGA-PBE-relaxed structure and CuKα.

Principal peaks in the range 10 to 90 degrees two-theta, most intense first:
| 2θ (°) | intensity |
| --- | --- |
| 31.33 | 100 |
| 44.75 | 56 |
| 31.29 | 50 |
| 44.98 | 37 |
| 27.09 | 32 |
| 74.05 | 25 |
| 55.89 | 19 |
| 45.08 | 18 |

```
10
Lattice="6.7351 -2.0113 0.0000 6.7351 2.0113 0.0000 -4.8794 0.0000 8.6020" Properties=species:S:1:pos:R:3 pbc="T T T"
Tm -0.6051 0.0000 3.3983
Tm 3.0366 0.0000 1.6966
Tm 5.5541 0.0000 6.9054
Tm 9.1959 0.0000 5.2037
Pu 6.7351 0.0000 0.0000
Se -2.9809 0.0000 7.7118
Se 0.5993 0.0000 5.9595
Se 4.2954 0.0000 4.3010
Se 7.9915 0.0000 2.6425
Se 11.5717 0.0000 0.8902
```

# 2
Diffraction record for Np2NbZnN5. The XRD peak list is simulated, not measured: it uses a GGA-PBE-relaxed structure and CuKα.

Principal peaks in the range 10 to 90 degrees two-theta, most intense first:
| 2θ (°) | intensity |
| --- | --- |
| 29.88 | 100 |
| 32.42 | 80 |
| 39.30 | 80 |
| 34.40 | 73 |
| 33.64 | 67 |
| 28.41 | 50 |
| 26.99 | 39 |
| 17.64 | 35 |

```
18
Lattice="1.6172 -6.6079 0.0000 1.6172 6.6079 0.0000 0.0000 0.0000 10.0574" Properties=species:S:1:pos:R:3 pbc="T T T"
Np 1.6172 5.0684 5.0287
Np 1.6172 4.8428 1.0703
Np 1.6172 -4.8428 6.0990
Np 1.6172 -5.0684 0.0000
Nb 1.6172 3.9354 8.1959
Nb 1.6172 -3.9354 3.1672
Zn 1.6172 0.1996 2.8940
Zn 1.6172 -0.1996 7.9227
N 1.6172 5.9019 8.9125
N 1.6172 2.8075 4.7104
N 1.6172 2.5556 1.6983
N 1.6172 1.8948 8.2980
N 1.6172 0.1172 5.9502
N 1.6172 -0.1172 0.9215
N 1.6172 -1.8948 3.2693
N 1.6172 -2.5556 6.7270
N 1.6172 -2.8075 9.7391
N 1.6172 -5.9019 3.8838
```

# 3
Diffraction record for Sm7Ti4Se12O6. The XRD peak list is simulated, not measured: it uses a GGA-PBE-relaxed structure and CuKα.

Principal peaks in the range 10 to 90 degrees two-theta, most intense first:
| 2θ (°) | intensity |
| --- | --- |
| 35.02 | 100 |
| 33.24 | 98 |
| 29.34 | 82 |
| 32.61 | 74 |
| 47.62 | 56 |
| 25.19 | 35 |
| 24.83 | 35 |
| 30.47 | 32 |

```
29
Lattice="14.1431 -1.9096 0.0000 14.1431 1.9096 0.0000 -0.0876 0.0000 11.1745" Properties=species:S:1:pos:R:3 pbc="T T T"
Sm 0.0000 0.0000 0.0000
Sm 4.1998 0.0000 1.6833
Sm 10.6460 0.0000 10.7057
Sm 14.3257 0.0000 5.5393
Sm 17.5176 0.0000 8.6479
Sm 21.2306 0.0000 3.4043
Sm 25.1002 0.0000 5.1459
Ti 4.5182 0.0000 5.1268
Ti 12.5706 0.0000 2.5578
Ti 20.8170 0.0000 11.0987
Ti 26.6989 0.0000 8.1431
Se 0.2574 0.0000 3.0235
Se 2.3975 0.0000 6.7187
Se 5.2893 0.0000 9.8836
Se 8.0715 0.0000 1.2226
Se 8.7226 0.0000 4.8972
Se 10.8574 0.0000 7.6137
Se 14.3523 0.0000 8.6931
Se 16.5219 0.0000 0.1978
Se 17.1747 0.0000 3.8972
Se 19.7459 0.0000 6.4426
Se 22.7572 0.0000 9.6217
Se 24.9360 0.0000 2.0822
O 5.6275 0.0000 3.6508
O 12.1674 0.0000 4.4282
O 13.0333 0.0000 0.6927
O 19.6944 0.0000 1.4810
O 26.1268 0.0000 9.9730
O 27.3263 0.0000 6.2837
```